[1]
For CePm6Tm2, the PBE geometry in Alexandria gives the simulated powder diffractogram in this record (λ = 1.5418 Å (Cu Kα)).
No peak broadening, texture or thermal motion is included.

Structure:
Unit cell a=6.265 b=9.849 c=11.363 alpha=90.00 beta=121.14 gamma=90.00
Element x y z (fractional)
Ce 0.000 0.000 0.000
Ce 0.000 0.500 0.500
Pm 0.126 0.144 0.483
Pm 0.126 0.356 0.983
Pm 0.236 0.724 0.849
Pm 0.236 0.776 0.349
Pm 0.437 0.111 0.303
Pm 0.437 0.389 0.803
Pm 0.563 0.611 0.197
Pm 0.563 0.889 0.697
Pm 0.764 0.224 0.651
Pm 0.764 0.276 0.151
Pm 0.874 0.644 0.017
Pm 0.874 0.856 0.517
Tm 0.335 0.077 0.849
Tm 0.335 0.423 0.349
Tm 0.665 0.577 0.651
Tm 0.665 0.923 0.151

Largest 10 diffraction maxima, in order of rising 2θ, 2θ from 15° to 90°:
2θ (°)	d (Å)	I/Imax
28.70	3.111	39
29.91	2.988	100
30.54	2.927	86
31.58	2.833	28
31.71	2.822	34
31.95	2.801	61
32.30	2.772	18
32.91	2.722	79
34.89	2.571	39
60.30	1.535	19

---

[2]
For NdHfSe2O, the PBE geometry in Alexandria gives the simulated powder diffractogram in this record (λ = 1.5418 Å (Cu Kα)).
No peak broadening, texture or thermal motion is included.

Structure:
Unit cell a=3.912 b=3.912 c=13.768 alpha=90.00 beta=90.00 gamma=90.00
Element x y z (fractional)
Nd 0.250 0.250 0.091
Nd 0.750 0.750 0.909
Hf 0.250 0.250 0.597
Hf 0.750 0.750 0.403
Se 0.250 0.250 0.394
Se 0.250 0.250 0.783
Se 0.750 0.750 0.217
Se 0.750 0.750 0.606
O 0.250 0.750 0.000
O 0.750 0.250 0.000

Largest 10 diffraction maxima, in order of rising 2θ, 2θ from 15° to 90°:
2θ (°)	d (Å)	I/Imax
25.88	3.442	21
26.20	3.401	55
32.36	2.767	100
34.71	2.584	47
41.89	2.156	31
46.42	1.956	42
51.76	1.766	37
59.24	1.560	20
62.38	1.489	18
77.10	1.237	20

---

[3]
For Nd6Ga3C, the PBE geometry in Alexandria gives the simulated powder diffractogram in this record (λ = 1.5418 Å (Cu Kα)).
No peak broadening, texture or thermal motion is included.

Structure:
Unit cell a=6.481 b=8.220 c=11.806 alpha=90.00 beta=118.96 gamma=90.00
Element x y z (fractional)
Nd 0.091 0.049 0.230
Nd 0.091 0.451 0.730
Nd 0.179 0.708 0.062
Nd 0.179 0.792 0.562
Nd 0.392 0.151 0.058
Nd 0.392 0.349 0.558
Nd 0.608 0.651 0.442
Nd 0.608 0.849 0.942
Nd 0.821 0.208 0.438
Nd 0.821 0.292 0.938
Nd 0.909 0.549 0.270
Nd 0.909 0.951 0.770
Ga 0.319 0.114 0.738
Ga 0.319 0.386 0.238
Ga 0.500 0.000 0.500
Ga 0.500 0.500 0.000
Ga 0.681 0.614 0.762
Ga 0.681 0.886 0.262
C 0.000 0.000 0.000
C 0.000 0.500 0.500

Largest 10 diffraction maxima, in order of rising 2θ, 2θ from 15° to 90°:
2θ (°)	d (Å)	I/Imax
27.45	3.249	47
27.74	3.216	42
28.46	3.136	53
29.71	3.007	49
30.34	2.946	31
30.49	2.932	67
31.58	2.833	100
32.24	2.777	36
33.43	2.680	30
35.58	2.523	48

---

[4]
For Pm2HoTm2Sc, the PBE geometry in Alexandria gives the simulated powder diffractogram in this record (λ = 1.5418 Å (Cu Kα)).
No peak broadening, texture or thermal motion is included.

Structure:
Unit cell a=5.582 b=10.748 c=6.201 alpha=90.00 beta=90.00 gamma=90.00
Element x y z (fractional)
Pm 0.000 0.082 0.000
Pm 0.000 0.918 0.500
Pm 0.500 0.257 0.168
Pm 0.500 0.743 0.668
Ho 0.000 0.257 0.506
Ho 0.000 0.743 0.006
Tm 0.000 0.422 0.994
Tm 0.000 0.578 0.494
Tm 0.500 0.088 0.667
Tm 0.500 0.912 0.167
Sc 0.500 0.420 0.666
Sc 0.500 0.580 0.166

Largest 10 diffraction maxima, in order of rising 2θ, 2θ from 15° to 90°:
2θ (°)	d (Å)	I/Imax
28.79	3.101	25
32.07	2.791	24
33.04	2.711	100
43.63	2.075	16
51.00	1.791	19
57.78	1.596	20
61.53	1.507	22
62.12	1.494	16
84.44	1.147	13
88.91	1.101	8

---

[5]
For TbDy2Au4, the PBE geometry in Alexandria gives the simulated powder diffractogram in this record (λ = 1.5418 Å (Cu Kα)).
No peak broadening, texture or thermal motion is included.

Structure:
Unit cell a=6.061 b=6.061 c=4.951 alpha=90.00 beta=90.00 gamma=104.96
Element x y z (fractional)
Tb 0.000 0.000 0.000
Dy 0.287 0.713 0.500
Dy 0.713 0.287 0.500
Au 0.000 0.500 0.000
Au 0.208 0.208 0.500
Au 0.500 0.000 0.000
Au 0.792 0.792 0.500

Largest 10 diffraction maxima, in order of rising 2θ, 2θ from 15° to 90°:
2θ (°)	d (Å)	I/Imax
15.13	5.856	10
25.83	3.449	10
30.41	2.940	12
35.62	2.520	100
36.29	2.476	27
37.41	2.404	20
42.06	2.148	12
53.11	1.724	16
64.85	1.438	18
66.34	1.409	11

---

[6]
For Na4B5C3, the PBE geometry in Alexandria gives the simulated powder diffractogram in this record (λ = 1.5418 Å (Cu Kα)).
No peak broadening, texture or thermal motion is included.

Structure:
Unit cell a=17.279 b=17.279 c=17.279 alpha=170.63 beta=19.26 gamma=163.21
Element x y z (fractional)
Na 0.062 0.000 0.062
Na 0.188 0.000 0.188
Na 0.313 0.002 0.312
Na 0.440 0.002 0.438
Na 0.563 0.002 0.562
Na 0.690 0.002 0.688
Na 0.812 0.000 0.812
Na 0.938 0.000 0.938
B 0.031 0.656 0.375
B 0.170 0.670 0.500
B 0.237 0.362 0.875
B 0.281 0.656 0.625
B 0.420 0.670 0.750
B 0.487 0.362 0.125
B 0.670 0.670 0.000
B 0.698 0.323 0.375
B 0.920 0.670 0.250
B 0.948 0.323 0.625
C 0.086 0.336 0.750
C 0.336 0.336 0.000
C 0.541 0.666 0.875
C 0.586 0.336 0.250
C 0.791 0.666 0.125
C 0.836 0.336 0.500

Largest 10 diffraction maxima, in order of rising 2θ, 2θ from 15° to 90°:
2θ (°)	d (Å)	I/Imax
35.59	2.523	7
36.49	2.463	12
41.61	2.170	36
42.41	2.131	100
57.19	1.611	7
64.50	1.445	13
77.63	1.230	9
80.31	1.195	12
81.34	1.183	7
81.91	1.176	6